[1]
This entry pairs a crystal structure of AcTb2Dy4 with its computed powder diffraction line list. Radiation: Cu Kα, 1.54184 Å. Structure: a DFT-relaxed cell (PBE, Alexandria).
No peak broadening, texture or thermal motion is included.

Atomic structure:
Cell: 7.1634 8.7065 8.9307 Å, 114.66 101.42 101.81°
Element x y z (fractional)
Ac  0.0000  0.0000  0.0000
Ac  0.3063  0.6765  0.5613
Tb  0.2149  0.1401  0.7135
Tb  0.5272  0.8323  0.2782
Tb  0.7990  0.6676  0.5384
Tb  0.8834  0.4112  0.1402
Dy  0.0280  0.8339  0.2906
Dy  0.1080  0.5594  0.8837
Dy  0.3900  0.4120  0.1440
Dy  0.4171  0.2366  0.4219
Dy  0.5082  0.0168  0.0154
Dy  0.6109  0.5598  0.8801
Dy  0.7074  0.1292  0.7093
Dy  0.9106  0.2396  0.4237

Top 8 peaks for 10 to 80 degrees two-theta, low angle first:
29.6°, d 3.017, I = 75; 30.8°, d 2.901, I = 100; 31.0°, d 2.884, I = 100; 31.2°, d 2.871, I = 94; 32.1°, d 2.788, I = 88; 32.6°, d 2.749, I = 46; 32.7°, d 2.739, I = 44; 60.8°, d 1.523, I = 29

[2]
This entry pairs a crystal structure of AcTb3Dy8 with its computed powder diffraction line list. Radiation: Cu Kα, 1.54184 Å. Structure: a DFT-relaxed cell (PBE, Alexandria).
No peak broadening, texture or thermal motion is included.

Atomic structure:
Cell: 8.5161 8.5161 8.5161 Å, 100.09 95.73 136.47°
Element x y z (fractional)
Ac  0.0000  0.0000  0.0000
Tb  0.0865  0.3391  0.7474
Tb  0.5035  0.0035  0.5000
Tb  0.5917  0.3391  0.2526
Dy  0.0030  0.3391  0.3361
Dy  0.0030  0.6669  0.6639
Dy  0.0882  0.0023  0.4224
Dy  0.0882  0.6658  0.0859
Dy  0.5049  0.3344  0.8296
Dy  0.5049  0.6753  0.1704
Dy  0.5799  0.0023  0.9141
Dy  0.5799  0.6658  0.5776

Top 8 peaks for 10 to 80 degrees two-theta, low angle first:
28.3°, d 3.158, I = 24; 31.3°, d 2.857, I = 24; 32.4°, d 2.764, I = 100; 42.7°, d 2.118, I = 16; 50.0°, d 1.823, I = 20; 56.4°, d 1.631, I = 21; 60.2°, d 1.537, I = 23; 60.9°, d 1.522, I = 17

[3]
This entry pairs a crystal structure of Ac2TbDy6 with its computed powder diffraction line list. Radiation: Cu Kα, 1.54184 Å. Structure: a DFT-relaxed cell (PBE, Alexandria).
No peak broadening, texture or thermal motion is included.

Atomic structure:
Cell: 8.7930 3.6353 10.0749 Å, 90.00 102.07 90.00°
Element x y z (fractional)
Ac  0.1946  0.0000  0.4631
Ac  0.8054  0.0000  0.5369
Tb  0.5000  0.5000  0.0000
Dy  0.1219  0.5000  0.7849
Dy  0.1827  0.0000  0.0983
Dy  0.4793  0.5000  0.3237
Dy  0.5207  0.5000  0.6763
Dy  0.8173  0.0000  0.9017
Dy  0.8781  0.5000  0.2151

Top 8 peaks for 10 to 80 degrees two-theta, low angle first:
26.6°, d 3.348, I = 23; 30.6°, d 2.923, I = 100; 31.1°, d 2.876, I = 78; 31.2°, d 2.866, I = 50; 32.3°, d 2.774, I = 79; 36.7°, d 2.446, I = 25; 52.2°, d 1.753, I = 22; 60.3°, d 1.536, I = 34

[4]
This entry pairs a crystal structure of AcTb3Dy7 with its computed powder diffraction line list. Radiation: Cu Kα, 1.54184 Å. Structure: a DFT-relaxed cell (PBE, Alexandria).
No peak broadening, texture or thermal motion is included.

Atomic structure:
Cell: 7.0175 5.5982 9.8726 Å, 90.00 108.59 90.00°
Element x y z (fractional)
Ac  0.0000  0.0000  0.0000
Tb  0.2763  0.5000  0.4937
Tb  0.5000  0.0000  0.0000
Tb  0.7237  0.5000  0.5063
Dy  0.0000  0.0000  0.5000
Dy  0.1468  0.5000  0.7884
Dy  0.3320  0.5000  0.1443
Dy  0.4335  0.0000  0.3328
Dy  0.5665  0.0000  0.6672
Dy  0.6680  0.5000  0.8557
Dy  0.8532  0.5000  0.2116

Top 8 peaks for 10 to 80 degrees two-theta, low angle first:
31.1°, d 2.879, I = 29; 31.3°, d 2.859, I = 100; 31.9°, d 2.807, I = 91; 32.0°, d 2.799, I = 70; 32.5°, d 2.755, I = 22; 32.9°, d 2.725, I = 73; 56.9°, d 1.618, I = 24; 62.5°, d 1.486, I = 18

[5]
This entry pairs a crystal structure of Ac8Tb2Dy3 with its computed powder diffraction line list. Radiation: Cu Kα, 1.54184 Å. Structure: a DFT-relaxed cell (PBE, Alexandria).
No peak broadening, texture or thermal motion is included.

Atomic structure:
Cell: 6.6271 6.6543 12.0458 Å, 90.09 100.69 99.74°
Element x y z (fractional)
Ac  0.0435  0.4161  0.1499
Ac  0.1972  0.1165  0.7762
Ac  0.3392  0.8068  0.3839
Ac  0.4187  0.6541  0.6928
Ac  0.5813  0.3459  0.3072
Ac  0.6608  0.1932  0.6161
Ac  0.8028  0.8835  0.2238
Ac  0.9565  0.5839  0.8501
Tb  0.1122  0.2663  0.4631
Tb  0.8878  0.7337  0.5369
Dy  0.2747  0.9618  0.0730
Dy  0.5000  0.5000  0.0000
Dy  0.7253  0.0382  0.9270

Top 8 peaks for 10 to 80 degrees two-theta, low angle first:
28.5°, d 3.127, I = 100; 28.7°, d 3.108, I = 33; 33.0°, d 2.711, I = 23; 33.2°, d 2.701, I = 45; 47.4°, d 1.919, I = 17; 47.6°, d 1.911, I = 17; 47.7°, d 1.906, I = 17; 56.4°, d 1.631, I = 25

[6]
This entry pairs a crystal structure of AcTb12Dy2 with its computed powder diffraction line list. Radiation: Cu Kα, 1.54184 Å. Structure: a DFT-relaxed cell (PBE, Alexandria).
No peak broadening, texture or thermal motion is included.

Atomic structure:
Cell: 3.5968 5.6265 24.5333 Å, 90.00 94.14 90.00°
Element x y z (fractional)
Ac  0.0000  0.0000  0.0000
Tb  0.0745  0.0000  0.1429
Tb  0.1043  0.5000  0.2044
Tb  0.1692  0.5000  0.3314
Tb  0.2167  0.0000  0.4266
Tb  0.2740  0.5000  0.5550
Tb  0.4597  0.5000  0.9220
Tb  0.5403  0.5000  0.0780
Tb  0.7260  0.5000  0.4450
Tb  0.7833  0.0000  0.5734
Tb  0.8308  0.5000  0.6686
Tb  0.8957  0.5000  0.7956
Tb  0.9255  0.0000  0.8571
Dy  0.3593  0.0000  0.7250
Dy  0.6407  0.0000  0.2750

Top 8 peaks for 10 to 80 degrees two-theta, low angle first:
30.0°, d 2.980, I = 57; 30.1°, d 2.969, I = 100; 30.9°, d 2.895, I = 64; 31.8°, d 2.813, I = 98; 32.0°, d 2.797, I = 62; 32.2°, d 2.781, I = 86; 33.3°, d 2.687, I = 39; 45.7°, d 1.984, I = 46

[7]
This entry pairs a crystal structure of Ac14TbDy with its computed powder diffraction line list. Radiation: Cu Kα, 1.54184 Å. Structure: a DFT-relaxed cell (PBE, Alexandria).
No peak broadening, texture or thermal motion is included.

Atomic structure:
Cell: 11.1890 7.8688 7.8688 Å, 90.01 90.00 90.00°
Element x y z (fractional)
Ac  0.0000  0.0000  0.0000
Ac  0.0000  0.9998  0.5003
Ac  0.0000  0.5003  0.9998
Ac  0.0000  0.5001  0.5001
Ac  0.2563  0.2503  0.2503
Ac  0.2565  0.2501  0.7501
Ac  0.2565  0.7501  0.2501
Ac  0.2569  0.7499  0.7499
Ac  0.5000  0.0003  0.5000
Ac  0.5000  0.5000  0.0003
Ac  0.7435  0.2501  0.7501
Ac  0.7435  0.7501  0.2501
Ac  0.7431  0.7499  0.7499
Ac  0.7437  0.2503  0.2503
Tb  0.5000  0.0004  0.0004
Dy  0.5000  0.4999  0.4999

Top 8 peaks for 10 to 80 degrees two-theta, low angle first:
27.7°, d 3.218, I = 100; 32.0°, d 2.797, I = 17; 32.2°, d 2.782, I = 34; 46.0°, d 1.973, I = 26; 46.1°, d 1.967, I = 13; 54.4°, d 1.685, I = 16; 54.7°, d 1.678, I = 32; 57.3°, d 1.609, I = 14

[8]
This entry pairs a crystal structure of AcTb12Dy6 with its computed powder diffraction line list. Radiation: Cu Kα, 1.54184 Å. Structure: a DFT-relaxed cell (PBE, Alexandria).
No peak broadening, texture or thermal motion is included.

Atomic structure:
Cell: 9.2957 9.2957 9.2957 Å, 107.39 107.39 107.39°
Element x y z (fractional)
Ac  0.0000  0.0000  0.0000
Tb  0.1108  0.5000  0.8892
Tb  0.1108  0.8892  0.5000
Tb  0.1669  0.3857  0.3857
Tb  0.3857  0.1669  0.3857
Tb  0.3857  0.3857  0.1669
Tb  0.5000  0.1108  0.8892
Tb  0.5000  0.8892  0.1108
Tb  0.6143  0.6143  0.8331
Tb  0.6143  0.8331  0.6143
Tb  0.8331  0.6143  0.6143
Tb  0.8892  0.1108  0.5000
Tb  0.8892  0.5000  0.1108
Dy  0.2592  0.6939  0.6939
Dy  0.3061  0.3061  0.7408
Dy  0.3061  0.7408  0.3061
Dy  0.6939  0.2592  0.6939
Dy  0.6939  0.6939  0.2592
Dy  0.7408  0.3061  0.3061

Top 8 peaks for 10 to 80 degrees two-theta, low angle first:
26.3°, d 3.394, I = 92; 28.8°, d 3.099, I = 100; 31.3°, d 2.858, I = 63; 34.9°, d 2.572, I = 71; 37.7°, d 2.384, I = 40; 37.9°, d 2.376, I = 33; 38.9°, d 2.313, I = 67; 61.8°, d 1.501, I = 34